The following is a simulated powder XRD pattern of Mn4Cr6F19. It was derived from the GGA+U geometry in Alexandria, using Cu Kα (λ = 1.5418 Å).

Top 12 peaks for 2θ from 10° to 80°, most intense first:
2θ = 23.72°, d = 3.751 Å, I = 100
2θ = 30.78°, d = 2.905 Å, I = 79
2θ = 50.67°, d = 1.802 Å, I = 77
2θ = 36.60°, d = 2.455 Å, I = 54
2θ = 33.80°, d = 2.652 Å, I = 54
2θ = 41.71°, d = 2.165 Å, I = 39
2θ = 48.55°, d = 1.875 Å, I = 31
2θ = 54.73°, d = 1.677 Å, I = 31
2θ = 62.30°, d = 1.490 Å, I = 25
2θ = 60.46°, d = 1.531 Å, I = 19
2θ = 56.68°, d = 1.624 Å, I = 18
2θ = 19.32°, d = 4.593 Å, I = 16

Structure:
```
Mn4Cr6F19
1.0
-4.5934 4.5934 4.5934
4.5934 -4.5934 4.5934
4.5934 4.5934 -4.5934
Mn Cr F
4 6 19
direct
0.0000 0.0000 0.7224
0.0000 0.7224 0.0000
0.2776 0.2776 0.2776
0.7224 0.0000 0.0000
0.1801 0.6801 0.5000
0.3199 0.5000 0.8199
0.5000 0.1801 0.6801
0.5000 0.8199 0.3199
0.6801 0.5000 0.1801
0.8199 0.3199 0.5000
0.0000 0.0000 0.0000
0.0000 0.2999 0.2999
0.0000 0.7001 0.7001
0.0160 0.2409 0.6433
0.2248 0.9840 0.6273
0.2409 0.6433 0.0160
0.2999 0.0000 0.2999
0.2999 0.2999 0.0000
0.3567 0.5975 0.3727
0.3727 0.3567 0.5975
0.4025 0.7591 0.7752
0.5975 0.3727 0.3567
0.6273 0.2248 0.9840
0.6433 0.0160 0.2409
0.7001 0.0000 0.7001
0.7001 0.7001 0.0000
0.7591 0.7752 0.4025
0.7752 0.4025 0.7591
0.9840 0.6273 0.2248
```